Li4Cr3GaO8: calculated powder diffraction line list (Cu Kα), based on DFT lattice parameters and positions (PBE+U).
Neutral-atom scattering factors, no anomalous dispersion.

Unit cell a=5.136 b=5.152 c=5.932 alpha=106.72 beta=90.01 gamma=99.58
Sites, in units of the cell vectors:
Li: 0.250 0.000 0.125
Li: 0.250 0.000 0.625
Li: 0.750 0.000 0.375
Li: 0.750 0.000 0.875
Cr: 0.000 0.500 0.249
Cr: 0.000 0.500 0.751
Cr: 0.500 0.500 0.500
Ga: 0.500 0.500 0.000
O: 0.129 0.276 0.444
O: 0.130 0.274 0.944
O: 0.371 0.725 0.306
O: 0.371 0.725 0.807
O: 0.629 0.275 0.193
O: 0.629 0.275 0.694
O: 0.870 0.726 0.056
O: 0.871 0.724 0.556

The 10 most intense peaks (10 to 90 degrees two-theta), in order of rising 2θ:
18.26°, intensity 100
35.49°, intensity 42
37.11°, intensity 13
43.09°, intensity 78
47.16°, intensity 14
56.92°, intensity 16
62.50°, intensity 21
62.65°, intensity 22
65.85°, intensity 15
79.06°, intensity 10